The following is a theoretical XRD peak list of Li3CrCo. It was derived from a structure optimized by DFT (PBE), using Cu Kα X-rays.
Kinematic intensities with the Lorentz-polarization factor, no thermal factor.

Peak list (6 most intense, 2θ = 5–70°, low angle first)
- 20.6°, 4.321 Å, intensity 1.6
- 29.2°, 3.055 Å, intensity 100.0
- 41.8°, 2.160 Å, intensity 25.2
- 51.8°, 1.764 Å, intensity 36.0
- 60.6°, 1.528 Å, intensity 15.3
- 68.7°, 1.366 Å, intensity 14.1

Cell and atoms:
```
Li3CrCo
1.0
4.321 0.000 0.000
0.000 4.321 0.000
0.000 0.000 4.321
Li Cr Co
3 1 1
Cartesian
0.000 0.000 2.160
0.000 2.160 0.000
2.160 0.000 0.000
2.160 2.160 2.160
0.000 0.000 0.000
```